# NdReMoO8
Simulated X-ray diffraction stick pattern, Cu Kα, 1.54184 Å. Input: a structure optimized by DFT (PBE+U).
Peak positions follow from Bragg's law for the DFT cell and can differ from measured ones.

Top 10 peaks for 2θ from 15° to 90°, most intense first:
| two_theta | I (rel.) |
| --- | --- |
| 20.94 | 100.0 |
| 24.04 | 97.3 |
| 23.16 | 86.1 |
| 22.85 | 57.3 |
| 28.35 | 53.2 |
| 27.27 | 36.6 |
| 30.22 | 29.1 |
| 28.73 | 26.5 |
| 38.57 | 18.9 |
| 42.99 | 17.9 |

```
44
Lattice="6.3298 0.0000 0.0000 0.0000 10.1689 0.0000 -5.0502 0.0000 12.4304" Properties=species:S:1:pos:R:3 pbc="T T T"
Nd -0.7668 2.4172 4.7402
Nd -3.2919 2.6672 10.9554
Nd 4.5715 7.5016 1.4749
Nd 2.0464 7.7516 7.6901
Re 1.5741 0.0607 1.9120
Re -0.9510 5.0237 8.1272
Re 2.2306 5.1451 4.3032
Re -0.2944 10.1081 10.5183
Mo -3.6700 6.6910 11.3988
Mo -1.1449 8.5623 5.1837
Mo 2.4245 1.6066 7.2467
Mo 4.9496 3.4779 1.0315
O -2.3577 1.8208 6.3729
O 0.1674 3.2637 0.1577
O -1.1257 7.4569 3.7675
O -3.6507 7.7964 9.9827
O -0.9809 0.0803 4.6083
O -3.5059 5.0042 10.8235
O -2.3284 6.1050 8.0361
O 0.1966 9.1483 1.8210
O 1.7914 0.8342 0.3553
O -0.7337 4.2502 6.5704
O -1.7425 0.8626 10.1201
O 0.7826 4.2218 3.9049
O 1.2937 1.2635 3.1445
O -1.2314 3.8209 9.3597
O 2.7334 7.1008 0.0678
O 0.2083 8.1525 6.2829
O 1.0713 2.0164 6.1474
O -1.4537 3.0681 12.3626
O 2.5111 6.3480 3.0707
O -0.0140 8.9053 9.2858
O 0.4971 5.9470 8.5255
O 3.0222 9.3063 2.3103
O 2.0133 5.9187 5.8599
O -0.5117 9.3346 12.0751
O 1.0830 1.0206 10.6094
O 3.6081 4.0638 4.3942
O 4.7856 5.1647 1.6069
O 2.2605 10.0886 7.8221
O 4.9304 2.3724 2.4476
O 2.4053 2.7120 8.6628
O 1.1122 6.9052 12.2726
O 3.6373 8.3481 6.0575
```